# 1
Starting from a DFT-relaxed cell (GGA-PBE, Alexandria), the X-ray diffraction stick pattern of Mo3RuRh3 was computed for λ = 1.5418 Å (Cu Kα).

Largest 10 diffraction maxima, by intensity, 2θ from 10° to 90°:
- (3 2 1), 2.028 Å, I = 100
- (3 1 0), 2.400 Å, I = 81
- (3 1 1), 2.288 Å, I = 49
- (3 0 2), 2.105 Å, I = 48
- (5 3 2), 1.231 Å, I = 33
- (2 1 1), 3.098 Å, I = 18
- (3 2 2), 1.841 Å, I = 16
- (2 2 1), 2.530 Å, I = 13
- (4 1 2), 1.656 Å, I = 11
- (4 1 3), 1.488 Å, I = 11

Structure:
a b c (Å): 7.589 7.589 7.589
angles (deg): 90.00 90.00 90.00
Positions (direct):
Mo  0.062  0.218  0.877
Mo  0.123  0.562  0.282
Mo  0.218  0.877  0.062
Mo  0.282  0.123  0.562
Mo  0.377  0.438  0.782
Mo  0.438  0.782  0.377
Mo  0.562  0.282  0.123
Mo  0.623  0.938  0.718
Mo  0.718  0.623  0.938
Mo  0.782  0.377  0.438
Mo  0.877  0.062  0.218
Mo  0.938  0.718  0.623
Ru  0.084  0.584  0.916
Ru  0.416  0.416  0.416
Ru  0.584  0.916  0.084
Ru  0.916  0.084  0.584
Rh  0.089  0.411  0.589
Rh  0.115  0.885  0.385
Rh  0.213  0.213  0.213
Rh  0.287  0.787  0.713
Rh  0.385  0.115  0.885
Rh  0.411  0.589  0.089
Rh  0.589  0.089  0.411
Rh  0.615  0.615  0.615
Rh  0.713  0.287  0.787
Rh  0.787  0.713  0.287
Rh  0.885  0.385  0.115
Rh  0.911  0.911  0.911

# 2
Starting from a DFT-relaxed cell (GGA-PBE, Alexandria), the X-ray diffraction stick pattern of Mo4Ru3Rh was computed for λ = 1.5418 Å (Cu Kα).

Largest 10 diffraction maxima, by intensity, 2θ from 10° to 90°:
- (1 1 2), 2.255 Å, I = 100
- (0 2 0), 1.966 Å, I = 33
- (4 0 0), 1.927 Å, I = 15
- (4 2 0), 1.376 Å, I = 15
- (1 3 2), 1.184 Å, I = 12
- (3 3 -2), 1.183 Å, I = 12
- (2 2 -4), 1.390 Å, I = 10
- (5 1 2), 1.167 Å, I = 6
- (7 1 -2), 1.166 Å, I = 6
- (2 2 4), 1.128 Å, I = 5

Structure:
a b c (Å): 8.646 3.931 7.866
angles (deg): 90.00 116.91 90.00
Positions (direct):
Mo  0.249  0.000  0.123
Mo  0.249  0.500  0.372
Mo  0.251  0.000  0.628
Mo  0.251  0.500  0.877
Mo  0.749  0.000  0.372
Mo  0.749  0.500  0.123
Mo  0.751  0.000  0.877
Mo  0.751  0.500  0.628
Ru  0.000  0.500  0.000
Ru  0.002  0.000  0.252
Ru  0.498  0.500  0.748
Ru  0.500  0.000  0.000
Ru  0.502  0.500  0.252
Ru  0.998  0.000  0.748
Rh  0.000  0.500  0.500
Rh  0.500  0.000  0.500